# Cs2TaCoO4
Computed powder X-ray diffraction pattern, CuKα. Input: DFT lattice parameters and positions (GGA+U).
Intensities are scaled so that the largest is 1000.

Principal peaks in the range 2θ = 15–90°, low angle first:
2θ (°), I/Imax
25.93, 497
26.75, 888
28.05, 1000
29.37, 755
30.53, 362
36.02, 341

Structure:
```
Cs2TaCoO4
1.0
3.0407 -6.2467 0.0000
3.0407 6.2467 0.0000
0.0000 0.0000 8.4062
Cs Ta Co O
4 2 2 8
Direct
0.0527 0.9473 0.5000 Cs
0.3947 0.6053 0.3533 Cs
0.6053 0.3947 0.8533 Cs
0.9473 0.0527 0.0000 Cs
0.3120 0.6880 0.7895 Ta
0.6880 0.3120 0.2895 Ta
0.2169 0.7831 0.0653 Co
0.7831 0.2169 0.5653 Co
0.1088 0.3885 0.6838 O
0.1617 0.8383 0.8158 O
0.3723 0.6277 0.9977 O
0.3885 0.1088 0.1838 O
0.6115 0.8912 0.6838 O
0.6277 0.3723 0.4977 O
0.8383 0.1617 0.3158 O
0.8912 0.6115 0.1838 O
```